(1)
Theoretical XRD peak list of Pr3Zn2As6 for a wavelength of 1.5418 Å, from a DFT-relaxed cell (GGA-PBE, Alexandria).
Intensities are scaled so that the largest is 100.

Most intense lines, 2θ = 10–90°, by intensity:
2theta, d [Å], I/Imax
35.90, 2.502, 100
45.01, 2.014, 19
44.64, 2.030, 18
49.56, 1.839, 18
34.15, 2.625, 16
34.27, 2.617, 16
28.09, 3.176, 13
27.96, 3.192, 13

```
data_Pr3Zn2As6
_symmetry_space_group_name_H-M 'P 1'
_symmetry_Int_Tables_number 1
_cell_length_a 4.029
_cell_length_b 12.180
_cell_length_c 10.326
_cell_angle_alpha 90.00
_cell_angle_beta 90.00
_cell_angle_gamma 90.00
loop_
_symmetry_equiv_pos_as_xyz
'x,y,z'
loop_
_atom_site_label
_atom_site_type_symbol
_atom_site_fract_x
_atom_site_fract_y
_atom_site_fract_z
_atom_site_occupancy
Pr1 Pr 0.250 0.088 0.229 1
Pr2 Pr 0.250 0.412 0.229 1
Pr3 Pr 0.250 0.750 0.235 1
Pr4 Pr 0.750 0.250 0.765 1
Pr5 Pr 0.750 0.588 0.771 1
Pr6 Pr 0.750 0.912 0.771 1
Zn1 Zn 0.250 0.596 0.503 1
Zn2 Zn 0.250 0.904 0.503 1
Zn3 Zn 0.750 0.096 0.497 1
Zn4 Zn 0.750 0.404 0.497 1
As1 As 0.250 0.082 0.651 1
As2 As 0.250 0.250 0.996 1
As3 As 0.250 0.418 0.651 1
As4 As 0.250 0.583 0.003 1
As5 As 0.250 0.750 0.661 1
As6 As 0.250 0.917 0.003 1
As7 As 0.750 0.083 0.997 1
As8 As 0.750 0.250 0.339 1
As9 As 0.750 0.417 0.997 1
As10 As 0.750 0.582 0.349 1
As11 As 0.750 0.750 0.004 1
As12 As 0.750 0.918 0.349 1
```

=====

(2)
Theoretical XRD peak list of Pr2ZrAs3 for a wavelength of 1.5418 Å, from a DFT-relaxed cell (GGA-PBE, Alexandria).
Intensities are scaled so that the largest is 100.

Most intense lines, 2θ = 10–90°, by intensity:
2theta, d [Å], I/Imax
30.27, 2.953, 100
43.57, 2.077, 71
30.58, 2.923, 47
53.97, 1.699, 38
43.34, 2.088, 37
79.68, 1.203, 24
26.23, 3.398, 17
71.44, 1.320, 17

```
data_Pr2ZrAs3
_symmetry_space_group_name_H-M 'P 1'
_symmetry_Int_Tables_number 1
_cell_length_a 9.254
_cell_length_b 9.254
_cell_length_c 9.254
_cell_angle_alpha 153.92
_cell_angle_beta 153.92
_cell_angle_gamma 37.22
loop_
_symmetry_equiv_pos_as_xyz
'x,y,z'
loop_
_atom_site_label
_atom_site_type_symbol
_atom_site_fract_x
_atom_site_fract_y
_atom_site_fract_z
_atom_site_occupancy
Pr1 Pr 0.166 0.166 0.000 1
Pr2 Pr 0.834 0.834 0.000 1
Zr1 Zr 0.500 0.500 0.000 1
As1 As 0.000 0.000 0.000 1
As2 As 0.342 0.342 0.000 1
As3 As 0.658 0.658 0.000 1
```

=====

(3)
Theoretical XRD peak list of AsPt3 for a wavelength of 1.5418 Å, from a DFT-relaxed cell (GGA-PBE, Alexandria).
Intensities are scaled so that the largest is 100.

Most intense lines, 2θ = 10–90°, by intensity:
2theta, d [Å], I/Imax
40.52, 2.227, 100
42.50, 2.127, 82
36.20, 2.482, 49
34.65, 2.588, 47
34.12, 2.628, 43
41.36, 2.183, 38
76.82, 1.241, 24
67.80, 1.382, 23

```
data_AsPt3
_symmetry_space_group_name_H-M 'P 1'
_symmetry_Int_Tables_number 1
_cell_length_a 4.871
_cell_length_b 8.732
_cell_length_c 6.111
_cell_angle_alpha 90.00
_cell_angle_beta 90.00
_cell_angle_gamma 90.00
loop_
_symmetry_equiv_pos_as_xyz
'x,y,z'
loop_
_atom_site_label
_atom_site_type_symbol
_atom_site_fract_x
_atom_site_fract_y
_atom_site_fract_z
_atom_site_occupancy
As1 As 0.090 0.250 0.067 1
As2 As 0.410 0.750 0.567 1
As3 As 0.590 0.250 0.433 1
As4 As 0.910 0.750 0.933 1
Pt1 Pt 0.027 0.250 0.642 1
Pt2 Pt 0.233 0.536 0.864 1
Pt3 Pt 0.233 0.964 0.864 1
Pt4 Pt 0.267 0.036 0.364 1
Pt5 Pt 0.267 0.464 0.364 1
Pt6 Pt 0.473 0.750 0.142 1
Pt7 Pt 0.527 0.250 0.858 1
Pt8 Pt 0.733 0.536 0.636 1
Pt9 Pt 0.733 0.964 0.636 1
Pt10 Pt 0.767 0.036 0.136 1
Pt11 Pt 0.767 0.464 0.136 1
Pt12 Pt 0.973 0.750 0.358 1
```